Entry 1:
For Ta2Fe5Co2Si, a PBE-relaxed structure gives the theoretical powder X-ray diffraction pattern in this record (Cu Kα (weighted mean of Kα1 and Kα2)).

Principal peaks in the range 2θ from 5° to 70°, low angle first:
2θ/deg, d_spacing, intensity
32.6, 2.744, 356
34.4, 2.605, 647
42.4, 2.130, 1000
45.1, 2.008, 648
49.8, 1.832, 353
69.4, 1.353, 347

Atomic structure:
```
Ta2Fe5Co2Si
1.0
8.280 0.000 0.000
0.000 8.280 0.000
0.000 0.000 3.664
Ta Fe Co Si
4 10 4 2
direct
0.175 0.325 0.000
0.325 0.825 0.000
0.675 0.175 0.000
0.825 0.675 0.000
0.000 0.500 0.500
0.063 0.797 0.500
0.203 0.063 0.500
0.297 0.563 0.500
0.437 0.297 0.500
0.500 0.000 0.500
0.563 0.703 0.500
0.703 0.437 0.500
0.797 0.937 0.500
0.937 0.203 0.500
0.121 0.621 0.000
0.379 0.121 0.000
0.621 0.879 0.000
0.879 0.379 0.000
0.000 0.000 0.000
0.500 0.500 0.000
```


Entry 2:
For Y3Al9Ni2, a PBE-relaxed structure gives the theoretical powder X-ray diffraction pattern in this record (Cu Kα (weighted mean of Kα1 and Kα2)).

Principal peaks in the range 2θ from 5° to 70°, low angle first:
2θ/deg, d_spacing, intensity
22.9, 3.889, 262
34.4, 2.607, 248
35.0, 2.564, 351
35.6, 2.520, 1000
37.6, 2.395, 270
42.8, 2.113, 326

Atomic structure:
```
Y3Al9Ni2
1.0
-2.113 4.967 6.074
2.113 -4.967 6.074
2.113 4.967 -6.074
Y Al Ni
3 9 2
direct
0.000 0.000 0.000
0.312 0.312 0.000
0.688 0.688 0.000
0.023 0.657 0.366
0.160 0.879 0.282
0.291 0.657 0.634
0.403 0.121 0.282
0.500 0.000 0.500
0.597 0.879 0.718
0.709 0.343 0.366
0.840 0.121 0.718
0.977 0.343 0.634
0.291 0.500 0.791
0.709 0.500 0.209
```


Entry 3:
For BaHoIn4O8, a PBE-relaxed structure gives the theoretical powder X-ray diffraction pattern in this record (Cu Kα (weighted mean of Kα1 and Kα2)).

Principal peaks in the range 2θ from 5° to 70°, low angle first:
2θ/deg, d_spacing, intensity
26.1, 3.409, 258
30.5, 2.932, 396
30.7, 2.914, 1000
32.1, 2.787, 253
53.4, 1.717, 285
53.8, 1.704, 281

Atomic structure:
```
BaHoIn4O8
1.0
3.409 1.968 5.629
-3.409 1.968 5.629
0.000 -3.936 5.629
Ba Ho In O
1 1 4 8
direct
0.000 0.000 0.000
0.627 0.627 0.627
0.121 0.626 0.626
0.249 0.249 0.249
0.626 0.121 0.626
0.626 0.626 0.121
0.382 0.382 0.845
0.382 0.845 0.382
0.390 0.390 0.390
0.439 0.855 0.855
0.845 0.382 0.382
0.853 0.853 0.853
0.855 0.439 0.855
0.855 0.855 0.439
```


Entry 4:
For Rb2UTlS5, a PBE-relaxed structure gives the theoretical powder X-ray diffraction pattern in this record (Cu Kα (weighted mean of Kα1 and Kα2)).

Principal peaks in the range 2θ from 5° to 70°, low angle first:
2θ/deg, d_spacing, intensity
11.1, 8.002, 821
12.3, 7.182, 877
20.7, 4.288, 542
26.5, 3.370, 975
28.5, 3.134, 833
29.0, 3.083, 1000

Atomic structure:
```
Rb2UTlS5
1.0
2.060 -9.635 0.000
2.060 9.635 0.000
0.000 0.000 14.364
Rb U Tl S
4 2 2 10
direct
0.108 0.892 0.500
0.133 0.867 0.141
0.867 0.133 0.641
0.892 0.108 0.000
0.211 0.789 0.849
0.789 0.211 0.349
0.444 0.556 0.259
0.556 0.444 0.759
0.067 0.933 0.872
0.288 0.712 0.465
0.303 0.697 0.227
0.337 0.663 0.829
0.500 0.500 0.110
0.500 0.500 0.610
0.663 0.337 0.329
0.697 0.303 0.727
0.712 0.288 0.965
0.933 0.067 0.372
```